Mg2MoO2: computed XRD peak list (Cu Kα (λ = 1.5418 Å)), based on a crystal structure in Alexandria, relaxed with PBE+U.
No peak broadening, texture or thermal motion is included.

Most intense lines, 2θ = 15–90°, low angle first:
| 2θ/deg | I (rel.) |
| --- | --- |
| 23.73 | 100 |
| 31.51 | 14 |
| 34.01 | 19 |
| 34.21 | 24 |
| 35.98 | 42 |
| 45.17 | 24 |
| 49.01 | 19 |
| 51.65 | 22 |
| 57.86 | 19 |
| 68.84 | 12 |

Crystal structure
```
data_Mg2MoO2
_chemical_formula_sum 'Mg4 Mo2 O4'
_space_group_name_H-M_alt 'I 4/m m m'
_space_group_IT_number 139
_space_group_name_Hall '-I 4 2'
_cell_length_a 4.015
_cell_length_b 4.015
_cell_length_c 10.483
_cell_angle_alpha 90.00
_cell_angle_beta 90.00
_cell_angle_gamma 90.00
loop_
_atom_site_label
_atom_site_fract_x
_atom_site_fract_y
_atom_site_fract_z
Mg1 0.000 0.500 0.250
Mo1 0.000 0.000 0.000
O1 0.000 0.000 0.210
```